LiZnAsH2O5: simulated PXRD pattern (copper Kα), based on a DFT-relaxed cell (GGA-PBE, the Materials Project).
Neutral-atom scattering factors, no anomalous dispersion.

Structural model:
Cell lengths 11.0862, 8.4660, 5.2155 Å; angles 90.00, 90.00, 90.00 degrees
Space group Pna2_1 (No. 33)
Symmetry-distinct sites (fractional):
Li: 0.1802 0.1753 0.0000 [4 per cell]
Zn: 0.1237 0.3689 0.4987 [4 per cell]
As: 0.1709 0.5790 0.9936 [4 per cell]
H: 0.0164 0.9512 0.3284 [4 per cell]
H: 0.0412 0.8314 0.5578 [4 per cell]
O: 0.0149 0.0884 0.9921 [4 per cell]
O: 0.0434 0.6809 0.9067 [4 per cell]
O: 0.1683 0.3912 0.8629 [4 per cell]
O: 0.1896 0.5598 0.3208 [4 per cell]
O: 0.2073 0.1776 0.3682 [4 per cell]

Top 12 peaks for 10° ≤ 2θ ≤ 90°, in order of rising 2θ:
- 13.16°, 6.728 Å, I 100, (1 1 0)
- 15.99°, 5.543 Å, I 16, (2 0 0)
- 20.00°, 4.441 Å, I 68, (0 1 1)
- 21.56°, 4.122 Å, I 14, (1 1 1)
- 26.31°, 3.387 Å, I 81, (3 1 0)
- 28.32°, 3.151 Å, I 78, (1 2 1)
- 34.39°, 2.608 Å, I 35, (0 0 2)
- 36.19°, 2.482 Å, I 15, (0 3 1)
- 36.59°, 2.456 Å, I 24, (3 2 1)
- 42.71°, 2.117 Å, I 15, (0 4 0)
- 43.81°, 2.066 Å, I 23, (3 1 2)
- 49.29°, 1.849 Å, I 20, (6 0 0)